IClO: computed X-ray powder pattern (CuKα), based on a GGA-PBE-relaxed structure.
Lines closer than 0.1° are merged.

Crystal structure
Cell: 9.6660 9.6660 9.6660 Å, 115.05 115.05 115.05°
Fractional positions:
I1 0.2483 0.7270 0.5851
I2 0.2730 0.4149 0.7517
I3 0.4149 0.7517 0.2730
I4 0.5851 0.2483 0.7270
I5 0.7270 0.5851 0.2483
I6 0.7517 0.2730 0.4149
Cl1 0.0843 0.1340 0.3717
Cl2 0.1340 0.3717 0.0843
Cl3 0.3717 0.0843 0.1340
Cl4 0.6283 0.9157 0.8660
Cl5 0.8660 0.6283 0.9157
Cl6 0.9157 0.8660 0.6283
O1 0.1339 0.5074 0.6872
O2 0.3128 0.8660 0.4926
O3 0.4926 0.3128 0.8660
O4 0.5074 0.6872 0.1339
O5 0.6872 0.1339 0.5074
O6 0.8661 0.4926 0.3128

Main lines, by angle (2θ from 15° to 90°):
| 2θ/deg | Rel. int. |
| --- | --- |
| 18.47 | 26 |
| 21.47 | 88 |
| 26.51 | 100 |
| 28.97 | 71 |
| 30.06 | 17 |
| 30.78 | 28 |
| 35.72 | 38 |
| 39.09 | 24 |
| 41.31 | 23 |
| 48.51 | 34 |
| 51.27 | 38 |
| 54.59 | 20 |